This entry pairs a crystal structure of TiAl3Rh2 with its theoretical XRD peak list. Radiation: λ = 1.5418 Å (Cu Kα). Structure: a GGA-PBE-relaxed structure.

Cell and atoms:
```
TiAl3Rh2
1.0
2.9535 0.0000 0.0000
0.0000 2.9535 0.0000
0.0000 0.0000 9.9524
Ti Al Rh
1 3 2
direct
0.0000 0.0000 0.0000
0.5000 0.5000 0.1917
0.5000 0.5000 0.5000
0.5000 0.5000 0.8083
0.0000 0.0000 0.3457
0.0000 0.0000 0.6543
```

Most intense lines, 2θ from 5° to 70°, sorted by position:
two_theta	I_rel	index
8.89	55	0 0 1
26.87	23	0 0 3
30.26	34	1 0 0
31.60	8	1 0 1
40.91	100	1 0 3
43.33	45	1 1 0
47.80	12	1 0 4
51.72	15	1 1 3
55.39	8	0 0 6
62.94	14	2 0 0